Record 1
# Li2YCl4
Theoretical powder diffractogram, Cu Ka. Input: a cell relaxed with GGA-PBE.
No peak broadening, texture or thermal motion is included.

Top 8 peaks for 2θ from 5° to 70°, by angle:
| Position (°2θ) | d (Å) | intensity |
| --- | --- | --- |
| 17.54 | 5.055 | 100 |
| 27.38 | 3.257 | 30 |
| 28.42 | 3.140 | 53 |
| 35.42 | 2.534 | 30 |
| 36.35 | 2.472 | 14 |
| 42.99 | 2.104 | 21 |
| 45.34 | 2.000 | 36 |
| 48.90 | 1.863 | 13 |

Cell and atoms:
```
Li2YCl4
1.0
-4.007 4.007 3.257
4.007 -4.007 3.257
4.007 4.007 -3.257
Li Y Cl
2 1 4
Cartesian
4.007 0.000 1.629
0.000 4.007 1.629
0.000 0.000 0.000
2.491 0.925 0.000
3.083 -1.516 3.257
0.925 5.524 0.000
1.516 3.083 3.257
```


Record 2
# Li2ZrCl
Theoretical powder diffractogram, Cu Ka. Input: a cell relaxed with GGA-PBE.
No peak broadening, texture or thermal motion is included.

Top 8 peaks for 2θ from 5° to 70°, by angle:
| Position (°2θ) | d (Å) | intensity |
| --- | --- | --- |
| 9.95 | 8.887 | 72 |
| 19.98 | 4.443 | 100 |
| 33.24 | 2.695 | 74 |
| 35.28 | 2.544 | 83 |
| 42.61 | 2.122 | 45 |
| 47.48 | 1.915 | 30 |
| 59.00 | 1.565 | 22 |
| 62.03 | 1.496 | 23 |

Cell and atoms:
```
Li2ZrCl
1.0
1.589 0.917 8.887
-1.589 0.917 8.887
0.000 -1.835 8.887
Li Zr Cl
2 1 1
Cartesian
0.000 0.000 6.031
0.000 0.000 20.629
0.000 0.000 0.000
0.000 0.000 13.330
```


Record 3
# Na3LuCl6
Theoretical powder diffractogram, Cu Ka. Input: a cell relaxed with GGA-PBE.
No peak broadening, texture or thermal motion is included.

Top 8 peaks for 2θ from 5° to 70°, by angle:
| Position (°2θ) | d (Å) | intensity |
| --- | --- | --- |
| 14.96 | 5.923 | 100 |
| 15.44 | 5.738 | 34 |
| 15.65 | 5.664 | 43 |
| 17.42 | 5.092 | 35 |
| 17.74 | 5.001 | 74 |
| 24.83 | 3.586 | 38 |
| 29.04 | 3.075 | 45 |
| 29.93 | 2.985 | 37 |

Cell and atoms:
```
Na3LuCl6
1.0
6.880 0.000 0.000
0.000 7.281 0.000
-6.738 0.000 10.183
Na Lu Cl
6 2 12
Cartesian
0.000 0.000 0.000
-3.369 3.641 5.092
-3.517 0.544 7.494
-0.148 3.096 2.403
0.289 4.185 7.780
3.659 6.737 2.689
0.071 0.000 5.092
3.440 3.641 0.000
-2.053 1.319 4.470
-5.422 2.322 9.561
-1.108 5.122 4.247
-4.477 5.800 9.339
0.995 0.486 2.708
-2.374 3.155 7.799
2.516 4.127 2.384
-0.853 6.795 7.475
4.619 1.482 0.845
1.249 2.159 5.936
5.564 4.960 0.622
2.195 5.962 5.713
```


Record 4
# LuNb6Cl18
Theoretical powder diffractogram, Cu Ka. Input: a cell relaxed with GGA-PBE.
No peak broadening, texture or thermal motion is included.

Top 8 peaks for 2θ from 5° to 70°, by angle:
| Position (°2θ) | d (Å) | intensity |
| --- | --- | --- |
| 11.18 | 7.912 | 10 |
| 12.70 | 6.969 | 100 |
| 21.24 | 4.183 | 12 |
| 27.67 | 3.224 | 8 |
| 33.47 | 2.677 | 25 |
| 38.77 | 2.323 | 10 |
| 40.29 | 2.239 | 18 |
| 50.23 | 1.816 | 10 |

Cell and atoms:
```
LuNb6Cl18
1.0
4.805 2.774 8.497
-4.805 2.774 8.497
0.000 -5.549 8.497
Lu Nb Cl
1 6 18
Cartesian
0.000 0.000 0.000
-1.668 0.411 11.530
-1.189 -1.239 13.962
0.478 -1.649 11.530
-0.478 1.649 13.962
1.189 1.239 11.530
1.668 -0.411 13.962
-3.795 0.890 9.992
-3.294 -0.997 12.724
-2.668 -2.841 15.500
-1.372 -1.439 9.940
-0.784 -3.351 12.768
1.127 -3.731 9.992
-2.510 2.354 12.768
-1.932 0.469 15.552
-0.560 1.908 9.940
0.560 -1.908 15.552
1.932 -0.469 9.940
2.510 -2.354 12.724
-1.127 3.731 15.500
0.784 3.351 12.724
1.372 1.439 15.552
2.668 2.841 9.992
3.294 0.997 12.768
3.795 -0.890 15.500
```